This entry pairs a crystal structure of Ba2Ge4Rh5 with its simulated X-ray powder pattern. Radiation: Cu Kα (λ = 1.5418 Å). Structure: DFT lattice parameters and positions (PBE).

Largest 8 diffraction maxima, low angle first, 10° ≤ 2θ ≤ 90°:
hkl 0 2 4, 2.968 Å, 2θ 30.11, I = 50; hkl 1 3 1, 2.952 Å, 2θ 30.27, I = 50; hkl 2 2 0, 2.578 Å, 2θ 34.81, I = 76; hkl 1 3 3, 2.553 Å, 2θ 35.16, I = 100; hkl 2 0 4, 2.284 Å, 2θ 39.45, I = 98; hkl 1 3 5, 2.081 Å, 2θ 43.48, I = 39; hkl 0 0 8, 1.798 Å, 2θ 50.79, I = 40; hkl 2 6 0, 1.508 Å, 2θ 61.50, I = 40

Structure:
```
data_Ba2Ge4Rh5
_chemical_formula_sum 'Ba8 Ge16 Rh20'
_cell_length_a 5.9144
_cell_length_b 10.5169
_cell_length_c 14.3830
_cell_angle_alpha 90.00
_cell_angle_beta 90.00
_cell_angle_gamma 90.00
_symmetry_space_group_name_H-M 'F m m m'
_symmetry_Int_Tables_number 69
_symmetry_space_group_name_Hall '-F 2 2'
loop_
_atom_site_label
_atom_site_fract_x
_atom_site_fract_y
_atom_site_fract_z
Ba1 0.0000 0.0000 0.1311
Ge1 0.0000 0.1642 0.3726
Rh1 0.0000 0.0000 0.5000
Rh2 0.2500 0.2500 0.0000
Rh3 0.2500 0.2500 0.2500
```